1.
Starting from a cell relaxed with GGA-PBE, the powder XRD pattern of CoPCBr was computed for copper Kα.

Largest 12 diffraction maxima, in order of falling intensity, 2θ from 15° to 90°:
- hkl 1 1 0, d 2.223, I 100
- hkl 1 0 -1, d 3.277, I 87
- hkl 0 0 2, d 3.203, I 61
- hkl 0 1 0, d 3.025, I 49
- hkl 2 0 -1, d 1.696, I 49
- hkl 1 1 -3, d 1.691, I 31
- hkl 0 1 3, d 1.744, I 25
- hkl 0 1 1, d 2.735, I 21
- hkl 0 0 3, d 2.135, I 19
- hkl 1 0 -3, d 2.040, I 17
- hkl 1 0 2, d 2.048, I 17
- hkl 2 1 2, d 1.217, I 13

Structure:
```
CoPCBr
1.0
3.3899 0.0000 0.0000
0.0000 3.0248 0.0000
-1.6674 0.0000 6.4060
Co P C Br
1 1 1 1
Direct
0.0000 0.0000 0.0000
0.5379 0.5000 0.0749
0.5995 0.0000 0.2106
0.8196 0.0000 0.6335
```

2.
Starting from a cell relaxed with GGA-PBE, the powder XRD pattern of Sr2CoCBr was computed for copper Kα.

Largest 12 diffraction maxima, in order of falling intensity, 2θ from 15° to 90°:
- hkl 1 1 1, d 2.681, I 100
- hkl 2 0 0, d 2.773, I 63
- hkl 3 1 1, d 1.583, I 39
- hkl 2 2 0, d 1.961, I 22
- hkl 2 0 2, d 1.531, I 19
- hkl 2 2 2, d 1.340, I 12
- hkl 4 2 0, d 1.240, I 10
- hkl 0 0 2, d 1.836, I 9
- hkl 3 3 1, d 1.232, I 9
- hkl 1 1 3, d 1.169, I 7
- hkl 4 0 0, d 1.387, I 7
- hkl 4 0 2, d 1.107, I 7

Structure:
```
Sr2CoCBr
1.0
5.5470 0.0000 0.0000
0.0000 5.5470 0.0000
0.0000 0.0000 3.6727
Sr Co C Br
2 1 1 1
Direct
0.0000 0.5000 0.0000
0.5000 0.0000 0.0000
0.0000 0.0000 0.5000
0.0000 0.0000 0.0000
0.5000 0.5000 0.5000
```